Calculated powder diffraction line list
Compound: La6Dy
Radiation: a wavelength of 1.5418 Å
Structure: a DFT-relaxed cell (PBE, Alexandria)
Peak positions follow from Bragg's law for the DFT cell and can differ from measured ones.

Crystal structure
a b c (Å): 7.0910 7.0910 7.0910
angles (deg): 109.47 109.47 109.47
Fractional coordinates of all 7 atoms:
La 0.2500 0.5000 0.7500
La 0.2500 0.7500 0.5000
La 0.5000 0.2500 0.7500
La 0.5000 0.7500 0.2500
La 0.7500 0.2500 0.5000
La 0.7500 0.5000 0.2500
Dy 0.0000 0.0000 0.0000

The 6 most intense peaks (2θ from 15° to 90°), most intense first:
Position (°2θ), d_spacing, I (rel.)
26.7, 3.343, 100.0
41.3, 2.188, 62.3
21.7, 4.094, 41.5
44.2, 2.047, 32.6
38.1, 2.364, 30.1
64.4, 1.447, 21.2